For Ta6Pb4O19, DFT lattice parameters and positions (PBE) gives the computed X-ray diffraction stick pattern in this record (Cu Kα (λ = 1.5418 Å)).
Neutral-atom scattering factors, no anomalous dispersion.

The 10 most intense peaks (2θ = 10–90°), by angle:
2theta  d [Å]  intensity
14.41  6.145  13
29.08  3.071  100
33.70  2.660  40
48.40  1.881  41
57.44  1.604  30
57.49  1.603  15
60.27  1.536  13
70.86  1.330  6
78.34  1.221  15
80.78  1.190  13

Cell and atoms:
Cell lengths 13.033, 13.033, 13.033 Å; angles 146.48, 60.00, 131.78 degrees
Atoms (fractional coordinates):
Ta1 0.000 0.000 0.000
Ta2 0.167 0.002 0.165
Ta3 0.168 0.000 0.668
Ta4 0.168 0.500 0.168
Ta5 0.337 0.002 0.335
Ta6 0.500 0.000 0.000
Ta7 0.500 0.000 0.500
Ta8 0.500 0.500 0.500
Ta9 0.663 0.998 0.665
Ta10 0.832 0.000 0.332
Ta11 0.832 0.500 0.832
Ta12 0.833 0.998 0.835
Pb1 0.000 0.000 0.500
Pb2 0.000 0.500 0.000
Pb3 0.000 0.500 0.500
Pb4 0.184 0.518 0.666
Pb5 0.352 0.518 0.834
Pb6 0.500 0.500 0.000
Pb7 0.648 0.482 0.166
Pb8 0.816 0.482 0.334
O1 0.020 0.064 0.338
O2 0.020 0.682 0.955
O3 0.100 0.316 0.174
O4 0.100 0.926 0.784
O5 0.105 0.685 0.420
O6 0.139 0.055 0.084
O7 0.158 0.408 0.750
O8 0.180 0.930 0.250
O9 0.227 0.064 0.545
O10 0.227 0.682 0.162
O11 0.235 0.315 0.920
O12 0.311 0.313 0.379
O13 0.311 0.932 0.998
O14 0.358 0.074 0.674
O15 0.358 0.684 0.284
O16 0.434 0.313 0.502
O17 0.434 0.932 0.121
O18 0.435 0.685 0.750
O19 0.471 0.055 0.416
O20 0.529 0.945 0.584
O21 0.565 0.315 0.250
O22 0.566 0.068 0.879
O23 0.566 0.687 0.498
O24 0.642 0.316 0.716
O25 0.642 0.926 0.326
O26 0.689 0.068 0.002
O27 0.689 0.687 0.621
O28 0.765 0.685 0.080
O29 0.773 0.318 0.838
O30 0.773 0.936 0.455
O31 0.820 0.070 0.750
O32 0.842 0.592 0.250
O33 0.861 0.945 0.916
O34 0.895 0.315 0.580
O35 0.900 0.074 0.216
O36 0.900 0.684 0.826
O37 0.980 0.318 0.045
O38 0.980 0.936 0.662